Starting from a cell relaxed with PBE, the X-ray powder pattern of Pu2U5Si3 was simulated for Cu Kα (weighted mean of Kα1 and Kα2).
Lines closer than 0.1° are merged.

Principal peaks in the range 2θ = 10–90°, low angle first:
| 2θ/deg | I (rel.) | h k l |
| --- | --- | --- |
| 21.15 | 35 | -1 1 1 |
| 22.43 | 40 | 1 1 2 |
| 29.13 | 39 | 2 1 2 |
| 35.93 | 100 | 1 3 2 |
| 36.51 | 71 | 1 0 3 |
| 37.07 | 78 | 2 -2 0 |
| 37.26 | 85 | 2 1 -1 |
| 39.70 | 58 | 3 1 2 |
| 41.70 | 60 | -1 2 3 |
| 46.27 | 39 | 0 3 -1 |

Structure:
a = 7.0686 Å, b = 7.7716 Å, c = 8.2886 Å
α = 63.24°, β = 71.87°, γ = 82.44°
Space group P-1 (No. 2)
Unique sites:
Pu 0.1167 0.3662 0.1505 [2 per cell]
Pu 0.2598 0.4420 0.4792 [2 per cell]
U 0.0149 0.2989 0.8179 [2 per cell]
U 0.0626 0.8337 0.4965 [2 per cell]
U 0.2089 0.9189 0.7997 [2 per cell]
U 0.4430 0.7025 0.9933 [2 per cell]
U 0.4785 0.2068 0.6854 [2 per cell]
Si 0.2365 0.0223 0.0888 [2 per cell]
Si 0.3295 0.5695 0.7403 [2 per cell]
Si 0.3728 0.1145 0.4034 [2 per cell]